(1)
This entry pairs a crystal structure of Mg2Zn6Pd3 with its computed XRD peak list. Radiation: copper Kα. Structure: DFT lattice parameters and positions (GGA-PBE).
Lines closer than 0.1° are merged.

Unit cell a=4.805 b=4.981 c=7.242 alpha=86.11 beta=81.92 gamma=78.90
Space group P-1 (No. 2)
One atom of each set of equivalent atoms:
Mg  0.050  0.414  0.304 [2 per cell]
Zn  0.244  0.037  0.595 [2 per cell]
Zn  0.308  0.863  0.235 [2 per cell]
Zn  0.380  0.683  0.881 [2 per cell]
Pd  0.174  0.211  0.952 [2 per cell]
Pd  0.500  0.500  0.500 [1 per cell]

Most intense lines, 2θ from 15° to 90°, in order of falling intensity:
2θ 39.52, I 100
2θ 40.10, I 33
2θ 43.78, I 27
2θ 46.64, I 19
2θ 47.91, I 19
2θ 77.57, I 8
2θ 65.46, I 7
2θ 21.30, I 7
2θ 67.33, I 7
2θ 66.46, I 7

---

(2)
This entry pairs a crystal structure of Y2Mg2Cu with its computed XRD peak list. Radiation: copper Kα. Structure: DFT lattice parameters and positions (GGA-PBE).
Lines closer than 0.1° are merged.

Unit cell a=4.975 b=3.912 c=12.504 alpha=90.00 beta=90.08 gamma=90.00
Space group P2_1 (No. 4)
One atom of each set of equivalent atoms:
Y  0.249  0.000  0.086 [2 per cell]
Y  0.249  0.499  0.704 [2 per cell]
Mg  0.251  0.499  0.303 [2 per cell]
Mg  0.251  0.999  0.491 [2 per cell]
Cu  0.246  0.998  0.862 [2 per cell]

Most intense lines, 2θ from 15° to 90°, in order of falling intensity:
2θ 36.30, I 100
2θ 32.44, I 99
2θ 29.92, I 90
2θ 36.11, I 71
2θ 35.91, I 49
2θ 36.81, I 39
2θ 41.18, I 39
2θ 19.20, I 35
2θ 46.42, I 34
2θ 27.93, I 34

---

(3)
This entry pairs a crystal structure of Pm2HoEr4Tm with its computed XRD peak list. Radiation: copper Kα. Structure: DFT lattice parameters and positions (GGA-PBE).
Lines closer than 0.1° are merged.

Unit cell a=7.080 b=7.083 c=12.246 alpha=73.23 beta=73.20 gamma=60.03
Space group P-1 (No. 2)
One atom of each set of equivalent atoms:
Pm  0.000  0.000  0.000 [1 per cell]
Pm  0.000  0.000  0.500 [1 per cell]
Pm  0.000  0.500  0.000 [1 per cell]
Pm  0.500  0.000  0.000 [1 per cell]
Ho  0.000  0.500  0.500 [1 per cell]
Ho  0.500  0.500  0.000 [1 per cell]
Er  0.250  0.250  0.252 [2 per cell]
Er  0.250  0.748  0.252 [2 per cell]
Er  0.251  0.251  0.748 [2 per cell]
Er  0.251  0.750  0.748 [2 per cell]
Tm  0.500  0.000  0.500 [1 per cell]
Tm  0.500  0.500  0.500 [1 per cell]

Most intense lines, 2θ from 15° to 90°, in order of falling intensity:
2θ 30.95, I 100
2θ 35.88, I 51
2θ 51.65, I 36
2θ 61.43, I 36
2θ 84.30, I 10
2θ 64.46, I 9
2θ 87.02, I 8
2θ 87.13, I 8
2θ 84.41, I 7
2θ 61.50, I 7

---

(4)
This entry pairs a crystal structure of PrZn10Ru2 with its computed XRD peak list. Radiation: copper Kα. Structure: DFT lattice parameters and positions (GGA-PBE).
Lines closer than 0.1° are merged.

Unit cell a=5.163 b=12.594 c=12.982 alpha=90.00 beta=90.00 gamma=90.00
Space group Fmmm (No. 69)
One atom of each set of equivalent atoms:
Pr  0.000  0.000  0.000 [4 per cell]
Zn  0.000  0.112  0.386 [16 per cell]
Zn  0.000  0.181  0.172 [16 per cell]
Zn  0.250  0.000  0.250 [8 per cell]
Ru  0.250  0.250  0.000 [8 per cell]

Most intense lines, 2θ from 15° to 90°, in order of falling intensity:
2θ 40.23, I 100
2θ 39.89, I 84
2θ 40.45, I 57
2θ 39.50, I 51
2θ 34.46, I 48
2θ 45.43, I 39
2θ 44.86, I 35
2θ 72.66, I 28
2θ 86.91, I 18
2θ 44.27, I 17

---

(5)
This entry pairs a crystal structure of Nd8Dy2Mg with its computed XRD peak list. Radiation: copper Kα. Structure: DFT lattice parameters and positions (GGA-PBE).
Lines closer than 0.1° are merged.

Unit cell a=5.662 b=7.760 c=17.221 alpha=90.00 beta=90.00 gamma=90.00
Space group Immm (No. 71)
One atom of each set of equivalent atoms:
Nd  0.000  0.000  0.176 [4 per cell]
Nd  0.000  0.218  0.365 [8 per cell]
Nd  0.000  0.267  0.000 [4 per cell]
Dy  0.000  0.500  0.195 [4 per cell]
Mg  0.000  0.500  0.500 [2 per cell]

Most intense lines, 2θ from 15° to 90°, in order of falling intensity:
2θ 32.02, I 100
2θ 30.38, I 38
2θ 31.61, I 34
2θ 25.18, I 20
2θ 56.55, I 20
2θ 58.92, I 16
2θ 48.35, I 15
2θ 31.16, I 14
2θ 61.46, I 12
2θ 44.97, I 12

---

(6)
This entry pairs a crystal structure of VFePtRh with its computed XRD peak list. Radiation: copper Kα. Structure: DFT lattice parameters and positions (GGA-PBE).
Lines closer than 0.1° are merged.

Unit cell a=3.721 b=3.813 c=3.880 alpha=90.00 beta=90.00 gamma=90.00
Space group Pmmm (No. 47)
One atom of each set of equivalent atoms:
V  0.000  0.000  0.000 [1 per cell]
Fe  0.000  0.500  0.500 [1 per cell]
Pt  0.500  0.000  0.500 [1 per cell]
Rh  0.500  0.500  0.000 [1 per cell]

Most intense lines, 2θ from 15° to 90°, in order of falling intensity:
2θ 41.11, I 100
2θ 23.91, I 22
2θ 32.93, I 20
2θ 46.83, I 17
2θ 47.70, I 16
2θ 48.95, I 15
2θ 83.00, I 13
2θ 84.29, I 12
2θ 86.17, I 12
2θ 89.20, I 11